(1)
For Ga5CuO8, a DFT-relaxed cell (GGA-PBE, Alexandria) gives the theoretical X-ray powder pattern in this record (Cu Kα (weighted mean of Kα1 and Kα2)).

Largest 6 diffraction maxima, by intensity, 2θ = 10–80°:
| two_theta | intensity | hkl |
| --- | --- | --- |
| 35.20 | 100.0 | 3 1 1 |
| 62.10 | 43.9 | 4 4 0 |
| 56.56 | 37.7 | 5 1 1 |
| 29.89 | 28.0 | 2 2 0 |
| 42.78 | 17.9 | 4 0 0 |
| 36.82 | 13.6 | 2 2 2 |

Crystal structure
Unit cell a=8.4554 b=8.4554 c=8.4554 alpha=90.00 beta=90.00 gamma=90.00
Space group F-43m (No. 216)
Symmetry-distinct sites (fractional):
1 Ga 0.0000 0.0000 0.0000
2 Ga 0.1216 0.1216 0.6216
3 Cu 0.2500 0.2500 0.2500
4 O 0.1124 0.1124 0.3876
5 O 0.1335 0.1335 0.8665



(2)
For CaIn2HgIr, a DFT-relaxed cell (GGA-PBE, Alexandria) gives the theoretical X-ray powder pattern in this record (Cu Kα (weighted mean of Kα1 and Kα2)).

Largest 6 diffraction maxima, by intensity, 2θ = 10–80°:
| two_theta | intensity | hkl |
| --- | --- | --- |
| 23.59 | 100.0 | 1 0 1 |
| 34.67 | 70.8 | 2 0 0 |
| 48.26 | 55.4 | 2 0 2 |
| 42.36 | 44.9 | 2 1 1 |
| 32.52 | 42.0 | 0 0 2 |
| 29.30 | 41.6 | 1 1 1 |

Crystal structure
Unit cell a=5.1753 b=5.1753 c=5.5067 alpha=90.00 beta=90.00 gamma=90.00
Space group P4/mmm (No. 123)
Symmetry-distinct sites (fractional):
1 Ca 0.0000 0.0000 0.0000
2 In 0.0000 0.5000 0.5000
3 Hg 0.5000 0.5000 0.0000
4 Ir 0.0000 0.0000 0.5000



(3)
For Ac3Mg2In3, a DFT-relaxed cell (GGA-PBE, Alexandria) gives the theoretical X-ray powder pattern in this record (Cu Kα (weighted mean of Kα1 and Kα2)).

Largest 6 diffraction maxima, by intensity, 2θ = 10–80°:
| two_theta | intensity | hkl |
| --- | --- | --- |
| 31.03 | 100.0 | 1 1 4 |
| 33.63 | 22.1 | 0 2 0 |
| 26.73 | 21.9 | 1 1 2 |
| 58.52 | 17.2 | 1 3 4 |
| 37.96 | 15.9 | 2 0 0 |
| 51.61 | 13.2 | 2 2 0 |

Crystal structure
Unit cell a=4.7403 b=5.3303 c=19.8289 alpha=90.00 beta=90.00 gamma=90.00
Space group Immm (No. 71)
Symmetry-distinct sites (fractional):
1 Ac 0.0000 0.0000 0.0000
2 Ac 0.0000 0.5000 0.1334
3 Mg 0.0000 0.0000 0.2431
4 In 0.0000 0.0000 0.5000
5 In 0.0000 0.5000 0.3533



(4)
For Pm3BeSi6Rh2, a DFT-relaxed cell (GGA-PBE, Alexandria) gives the theoretical X-ray powder pattern in this record (Cu Kα (weighted mean of Kα1 and Kα2)).

Largest 6 diffraction maxima, by intensity, 2θ = 10–80°:
| two_theta | intensity | hkl |
| --- | --- | --- |
| 27.39 | 100.0 | 0 1 2 |
| 33.37 | 79.3 | 1 1 0 |
| 38.93 | 54.7 | 1 1 2 |
| 44.25 | 50.8 | 0 1 4 |
| 43.70 | 44.2 | 2 0 2 |
| 21.45 | 38.7 | 0 1 1 |

Crystal structure
Unit cell a=5.3696 b=5.3696 c=9.1191 alpha=90.00 beta=90.00 gamma=120.00
Space group P-3m1 (No. 164)
Symmetry-distinct sites (fractional):
1 Pm 0.0000 0.0000 0.0000
2 Pm 0.3333 0.6667 0.5832
3 Be 0.0000 0.0000 0.5000
4 Si 0.1605 0.3210 0.2844
5 Rh 0.3333 0.6667 0.0919



(5)
For Y3Mn2Co7, a DFT-relaxed cell (GGA-PBE, Alexandria) gives the theoretical X-ray powder pattern in this record (Cu Kα (weighted mean of Kα1 and Kα2)).

Largest 6 diffraction maxima, by intensity, 2θ = 10–80°:
| two_theta | intensity | hkl |
| --- | --- | --- |
| 42.21 | 100.0 | 1 1 6 |
| 40.95 | 38.9 | 0 2 1 |
| 35.11 | 36.8 | 1 1 0 |
| 33.48 | 28.1 | 1 0 7 |
| 36.69 | 27.9 | 0 1 8 |
| 45.28 | 25.9 | 2 0 5 |

Crystal structure
Unit cell a=5.1119 b=5.1119 c=23.5215 alpha=90.00 beta=90.00 gamma=120.00
Space group R-3m (No. 166, hexagonal axes)
Symmetry-distinct sites (fractional):
1 Y 0.0000 0.0000 0.0000
2 Y 0.0000 0.0000 0.1406
3 Mn 0.0000 0.0000 0.3335
4 Co 0.0000 0.0000 0.5000
5 Co 0.9996 0.4998 0.0816



(6)
For La2MnSb, a DFT-relaxed cell (GGA-PBE, Alexandria) gives the theoretical X-ray powder pattern in this record (Cu Kα (weighted mean of Kα1 and Kα2)).

Largest 6 diffraction maxima, by intensity, 2θ = 10–80°:
| two_theta | intensity | hkl |
| --- | --- | --- |
| 29.36 | 100.0 | 1 1 1 |
| 36.42 | 49.3 | 1 1 3 |
| 30.28 | 45.8 | 0 1 3 |
| 36.16 | 29.6 | 1 0 4 |
| 40.14 | 24.2 | 2 0 0 |
| 40.96 | 22.9 | 0 2 0 |

Crystal structure
Unit cell a=4.4927 b=4.4069 c=11.9271 alpha=90.00 beta=90.00 gamma=90.00
Space group Amm2 (No. 38)
Symmetry-distinct sites (fractional):
1 La 0.0000 0.0000 0.0000
2 La 0.5000 0.0000 0.2906
3 Mn 0.5000 0.0000 0.5639
4 Sb 0.0000 0.0000 0.7113



(7)
For TlAg3I6, a DFT-relaxed cell (GGA-PBE, Alexandria) gives the theoretical X-ray powder pattern in this record (Cu Kα (weighted mean of Kα1 and Kα2)).

Largest 6 diffraction maxima, by intensity, 2θ = 10–80°:
| two_theta | intensity | hkl |
| --- | --- | --- |
| 34.58 | 100.0 | 2 4 1 |
| 21.98 | 62.7 | 0 2 1 |
| 26.97 | 34.1 | 1 3 1 |
| 37.86 | 27.3 | 0 0 2 |
| 41.30 | 23.9 | 4 2 1 |
| 20.62 | 23.9 | 2 2 0 |

Crystal structure
Unit cell a=10.3941 b=15.3999 c=4.7527 alpha=90.00 beta=90.00 gamma=90.00
Space group Cmmm (No. 65)
Symmetry-distinct sites (fractional):
1 Tl 0.0000 0.0000 0.0000
2 Ag 0.0000 0.5000 0.0000
3 Ag 0.2500 0.2500 0.5000
4 I 0.0000 0.1740 0.5000
5 I 0.1930 0.3750 0.0000



(8)
For LiDySnI6, a DFT-relaxed cell (GGA-PBE, Alexandria) gives the theoretical X-ray powder pattern in this record (Cu Kα (weighted mean of Kα1 and Kα2)).

Largest 6 diffraction maxima, by intensity, 2θ = 10–80°:
| two_theta | intensity | hkl |
| --- | --- | --- |
| 26.53 | 100.0 | 1 1 2 |
| 34.64 | 54.1 | 1 1 4 |
| 40.88 | 44.3 | 3 0 0 |
| 18.39 | 24.1 | 1 0 2 |
| 45.34 | 23.0 | 2 -1 6 |
| 68.14 | 17.5 | 3 0 8 |

Crystal structure
Unit cell a=7.6460 b=7.6460 c=14.0812 alpha=90.00 beta=90.00 gamma=120.00
Space group P-31c (No. 163)
Symmetry-distinct sites (fractional):
1 Li 0.3333 0.6667 0.2500
2 Dy 0.3333 0.6667 0.7500
3 Sn 0.0000 0.0000 0.0000
4 I 0.0032 0.3507 0.1280



(9)
For BaAgH6Au2, a DFT-relaxed cell (GGA-PBE, Alexandria) gives the theoretical X-ray powder pattern in this record (Cu Kα (weighted mean of Kα1 and Kα2)).

Largest 6 diffraction maxima, by intensity, 2θ = 10–80°:
| two_theta | intensity | hkl |
| --- | --- | --- |
| 28.58 | 100.0 | 0 0 2 |
| 34.90 | 99.9 | 0 4 1 |
| 28.83 | 89.3 | 2 2 -1 |
| 31.69 | 29.4 | 0 4 0 |
| 46.49 | 25.6 | 2 2 -3 |
| 14.16 | 19.7 | 1 1 0 |

Crystal structure
Unit cell a=7.8161 b=11.2983 c=6.4985 alpha=90.00 beta=106.14 gamma=90.00
Space group C2/c (No. 15)
Symmetry-distinct sites (fractional):
1 Ba 0.0000 0.1472 0.2500
2 Ag 0.0000 0.3450 0.7500
3 H 0.0376 0.3447 0.0453
4 H 0.1688 0.2163 0.7166
5 H 0.1904 0.0061 0.0593
6 Au 0.1925 0.4162 0.2466



(10)
For AcLa4Y5, a DFT-relaxed cell (GGA-PBE, Alexandria) gives the theoretical X-ray powder pattern in this record (Cu Kα (weighted mean of Kα1 and Kα2)).

Largest 6 diffraction maxima, by intensity, 2θ = 10–80°:
| two_theta | intensity | hkl |
| --- | --- | --- |
| 29.71 | 100.0 | 1 0 5 |
| 33.80 | 35.7 | 1 1 0 |
| 57.96 | 29.8 | 2 1 5 |
| 49.96 | 22.8 | 1 1 10 |
| 35.67 | 15.0 | 0 0 10 |
| 48.56 | 12.8 | 2 0 0 |

Crystal structure
Unit cell a=3.7499 b=3.7499 c=25.1725 alpha=90.00 beta=90.00 gamma=90.00
Space group P4/mmm (No. 123)
Symmetry-distinct sites (fractional):
1 Ac 0.0000 0.0000 0.0000
2 La 0.0000 0.0000 0.2034
3 La 0.0000 0.0000 0.4012
4 Y 0.5000 0.5000 0.1048
5 Y 0.5000 0.5000 0.3025
6 Y 0.5000 0.5000 0.5000



(11)
For K3AgRu2O8, a DFT-relaxed cell (GGA-PBE, Alexandria) gives the theoretical X-ray powder pattern in this record (Cu Kα (weighted mean of Kα1 and Kα2)).

Largest 6 diffraction maxima, by intensity, 2θ = 10–80°:
| two_theta | intensity | hkl |
| --- | --- | --- |
| 29.53 | 100.0 | 1 1 0 |
| 28.47 | 78.2 | 0 1 2 |
| 20.40 | 75.5 | 1 0 1 |
| 41.48 | 45.5 | 2 0 2 |
| 51.74 | 26.9 | 1 2 2 |
| 52.39 | 18.4 | 3 0 0 |

Crystal structure
Unit cell a=6.0494 b=6.0494 c=7.8257 alpha=90.00 beta=90.00 gamma=120.00
Space group P-3m1 (No. 164)
Symmetry-distinct sites (fractional):
1 K 0.0000 0.0000 0.0000
2 K 0.3333 0.6667 0.6520
3 Ag 0.0000 0.0000 0.5000
4 Ru 0.3333 0.6667 0.2101
5 O 0.1741 0.3482 0.3017
6 O 0.3333 0.6667 0.9840



(12)
For LiZn3Ru, a DFT-relaxed cell (GGA-PBE, Alexandria) gives the theoretical X-ray powder pattern in this record (Cu Kα (weighted mean of Kα1 and Kα2)).

Largest 6 diffraction maxima, by intensity, 2θ = 10–80°:
| two_theta | intensity | hkl |
| --- | --- | --- |
| 40.25 | 100.0 | 1 3 -2 |
| 15.58 | 52.6 | 1 1 -1 |
| 43.56 | 47.9 | 2 0 -4 |
| 42.48 | 32.7 | 4 2 -1 |
| 41.34 | 28.0 | 3 1 1 |
| 34.24 | 24.7 | 4 0 -2 |

Crystal structure
Unit cell a=10.5033 b=7.9823 c=8.4562 alpha=90.00 beta=123.98 gamma=90.00
Space group C2/c (No. 15)
Symmetry-distinct sites (fractional):
1 Li 0.1374 0.1930 0.2983
2 Zn 0.0668 0.3315 0.5397
3 Zn 0.1493 0.0197 0.5680
4 Zn 0.2131 0.3746 0.0779
5 Ru 0.0000 0.1642 0.7500
6 Ru 0.0000 0.4969 0.7500